Record 1
# Tb2Y2O5
Theoretical PXRD pattern, Cu Kα. Input: the PBE geometry in OQMD.
Intensities are scaled so that the largest is 1000.

Structural model:
```
data_Tb2Y2O5
_cell_length_a 3.883
_cell_length_b 3.883
_cell_length_c 9.625
_cell_angle_alpha 90.00
_cell_angle_beta 90.00
_cell_angle_gamma 90.00
_space_group_name_H-M_alt 'P 4/m m m'
_space_group_IT_number 123
_space_group_name_Hall '-P 4 2'
loop_
_atom_site_label
_atom_site_fract_x
_atom_site_fract_y
_atom_site_fract_z
Tb1 0.000 0.000 0.242
Y1 0.500 0.500 0.000
Y2 0.500 0.500 0.500
O1 0.000 0.000 0.500
O2 0.000 0.500 0.143
```

Principal peaks in the range 10 to 90 degrees two-theta, in order of rising 2θ:
- 29.56 deg, I 1000
- 32.62 deg, I 335
- 37.37 deg, I 117
- 46.80 deg, I 200
- 50.43 deg, I 305
- 56.33 deg, I 326
- 61.36 deg, I 113
- 62.66 deg, I 112
- 81.73 deg, I 106
- 89.65 deg, I 115

Record 2
# TbZnO3
Theoretical PXRD pattern, Cu Kα. Input: the PBE geometry in OQMD.
Intensities are scaled so that the largest is 1000.

Structural model:
```
data_TbZnO3
_cell_length_a 5.5381
_cell_length_b 5.5381
_cell_length_c 12.5935
_cell_angle_alpha 90.00
_cell_angle_beta 90.00
_cell_angle_gamma 120.00
_space_group_name_H-M_alt 'R -3 c'
_space_group_IT_number 167
_space_group_name_Hall '-R 3 2"c'
loop_
_atom_site_label
_atom_site_fract_x
_atom_site_fract_y
_atom_site_fract_z
Tb1 0.0000 0.0000 0.2500
Zn1 0.0000 0.0000 0.0000
O1 0.0000 0.4044 0.2500
```

Principal peaks in the range 10 to 90 degrees two-theta, in order of rising 2θ:
- 23.31 deg, I 288
- 32.33 deg, I 1000
- 34.06 deg, I 965
- 40.24 deg, I 165
- 47.67 deg, I 509
- 57.66 deg, I 273
- 58.78 deg, I 424
- 62.05 deg, I 171
- 77.98 deg, I 163
- 80.87 deg, I 167

Record 3
# TbZnO3
Theoretical PXRD pattern, Cu Kα. Input: the PBE geometry in OQMD.
Intensities are scaled so that the largest is 1000.

Structural model:
```
data_TbZnO3
_cell_length_a 5.773
_cell_length_b 7.504
_cell_length_c 5.256
_cell_angle_alpha 90.00
_cell_angle_beta 90.00
_cell_angle_gamma 90.00
_space_group_name_H-M_alt 'P n m a'
_space_group_IT_number 62
loop_
_space_group_symop_operation_xyz
'x,y,z'
'-x,-y,-z'
'-x+1/2,-y,z+1/2'
'x+1/2,y,-z+1/2'
'x+1/2,-y+1/2,-z+1/2'
'-x+1/2,y+1/2,z+1/2'
'-x,y+1/2,-z'
'x,-y+1/2,z'
loop_
_atom_site_label
_atom_site_fract_x
_atom_site_fract_y
_atom_site_fract_z
Tb1 0.084 0.250 0.022
Zn1 0.000 0.000 0.500
O1 0.034 0.750 0.388
O2 0.184 0.554 0.806
```

Principal peaks in the range 10 to 90 degrees two-theta, in order of rising 2θ:
- 25.82 deg, I 265
- 30.98 deg, I 138
- 33.20 deg, I 1000
- 34.12 deg, I 213
- 46.75 deg, I 117
- 48.39 deg, I 149
- 48.53 deg, I 123
- 52.06 deg, I 173
- 60.49 deg, I 176
- 60.65 deg, I 97